Structure and theoretical X-ray diffraction stick pattern of Ti4FeBiPb4O15 (a structure optimized by DFT (PBE+U); Cu Kα (λ = 1.5418 Å)).
Lines closer than 0.1° are merged.

Structure:
Lattice parameters (Å, degrees): 5.433 27.059 4.780 90.00 90.00 90.00
Space group Cmm2 (No. 35)
Symmetry-distinct sites (fractional):
Ti1 0.000 0.102 0.000 x4
Ti2 0.000 0.300 0.002 x4
Fe1 0.000 0.500 0.998 x2
Bi1 0.000 0.000 0.404 x2
Pb1 0.000 0.201 0.445 x4
Pb2 0.000 0.404 0.456 x4
O1 0.000 0.097 0.634 x4
O2 0.000 0.297 0.636 x4
O3 0.000 0.500 0.610 x2
O4 0.241 0.050 0.129 x8
O5 0.249 0.350 0.103 x8
O6 0.250 0.250 0.120 x4

Largest 10 diffraction maxima, in order of rising 2θ, 5 to 70 degrees two-theta:
d 4.780, 2θ = 18.56°, rel. 29, (0 0 1); d 3.834, 2θ = 23.20°, rel. 28, (1 5 0); d 2.991, 2θ = 29.88°, rel. 100, (1 5 1); d 2.716, 2θ = 32.97°, rel. 19, (2 0 0); d 2.706, 2θ = 33.11°, rel. 18, (0 10 0); d 2.028, 2θ = 44.68°, rel. 19, (1 5 2); d 1.917, 2θ = 47.42°, rel. 21, (2 10 0); d 1.793, 2θ = 50.94°, rel. 23, (2 0 2); d 1.616, 2θ = 56.98°, rel. 17, (3 5 1); d 1.612, 2θ = 57.15°, rel. 16, (1 15 1)

Structure and theoretical X-ray diffraction stick pattern of Ti2Fe3Bi3Pb2O15 (a structure optimized by DFT (PBE+U); Cu Kα (λ = 1.5418 Å)).
Lines closer than 0.1° are merged.

Structure:
Lattice parameters (Å, degrees): 5.381 26.781 4.851 90.00 90.00 90.00
Space group Cmm2 (No. 35)
Symmetry-distinct sites (fractional):
Ti1 0.000 0.201 0.000 x4
Fe1 0.000 0.000 0.014 x2
Fe2 0.000 0.399 0.007 x4
Bi1 0.000 0.098 0.589 x4
Bi2 0.000 0.500 0.585 x2
Pb1 0.000 0.304 0.546 x4
O1 0.000 0.000 0.395 x2
O2 0.000 0.195 0.360 x4
O3 0.000 0.402 0.389 x4
O4 0.241 0.149 0.866 x8
O5 0.249 0.450 0.865 x8
O6 0.250 0.250 0.899 x4

Largest 10 diffraction maxima, in order of rising 2θ, 5 to 70 degrees two-theta:
d 4.851, 2θ = 18.29°, rel. 30, (0 0 1); d 3.796, 2θ = 23.43°, rel. 25, (1 5 0); d 2.990, 2θ = 29.89°, rel. 100, (1 5 1); d 2.691, 2θ = 33.30°, rel. 18, (2 0 0); d 2.678, 2θ = 33.46°, rel. 17, (0 10 0); d 2.353, 2θ = 38.25°, rel. 13, (2 0 1); d 2.044, 2θ = 44.32°, rel. 18, (1 5 2); d 1.898, 2θ = 47.93°, rel. 20, (2 10 0); d 1.605, 2θ = 57.41°, rel. 16, (3 5 1); d 1.600, 2θ = 57.62°, rel. 15, (1 15 1)

Structure and theoretical X-ray diffraction stick pattern of TiFe2Bi2PbO9 (a structure optimized by DFT (PBE+U); Cu Kα (λ = 1.5418 Å)).
Lines closer than 0.1° are merged.

Structure:
Lattice parameters (Å, degrees): 5.5751 5.5751 13.7553 90.00 90.00 120.00
Space group P3 (No. 143)
Symmetry-distinct sites (fractional):
Ti1 0.0000 0.0000 0.0000 x1
Ti2 0.3333 0.6667 0.1779 x1
Fe1 0.0000 0.0000 0.5023 x1
Fe2 0.3333 0.6667 0.6674 x1
Fe3 0.6667 0.3333 0.3425 x1
Fe4 0.6667 0.3333 0.8267 x1
Bi1 0.0000 0.0000 0.7681 x1
Bi2 0.3333 0.6667 0.4481 x1
Bi3 0.3333 0.6667 0.9341 x1
Bi4 0.6667 0.3333 0.6042 x1
Pb1 0.0000 0.0000 0.2767 x1
Pb2 0.6667 0.3333 0.0993 x1
O1 0.1024 0.7529 0.5759 x3
O2 0.1363 0.3432 0.0657 x3
O3 0.3186 0.2301 0.8989 x3
O4 0.3227 0.0935 0.4163 x3
O5 0.4326 0.0159 0.7373 x3
O6 0.4703 0.4683 0.2412 x3

Largest 10 diffraction maxima, in order of rising 2θ, 5 to 70 degrees two-theta:
d 3.952, 2θ = 22.50°, rel. 77, (0 1 2); d 2.801, 2θ = 31.95°, rel. 100, (1 0 4); d 2.788, 2θ = 32.11°, rel. 99, (1 1 0); d 2.278, 2θ = 39.56°, rel. 34, (2 0 2); d 1.976, 2θ = 45.93°, rel. 50, (0 2 4); d 1.771, 2θ = 51.62°, rel. 25, (1 1 6); d 1.764, 2θ = 51.83°, rel. 19, (1 2 2); d 1.620, 2θ = 56.84°, rel. 18, (0 1 8); d 1.611, 2θ = 57.18°, rel. 64, (3 0 0); d 1.394, 2θ = 67.16°, rel. 16, (2 2 0)

Structure and theoretical X-ray diffraction stick pattern of TiFe2Bi2PbO9 (a structure optimized by DFT (PBE+U); Cu Kα (λ = 1.5418 Å)).
Lines closer than 0.1° are merged.

Structure:
Lattice parameters (Å, degrees): 5.384 16.090 4.829 90.00 90.00 90.00
Space group Cmm2 (No. 35)
Symmetry-distinct sites (fractional):
Ti1 0.000 0.000 0.000 x2
Fe1 0.000 0.336 0.011 x4
Bi1 0.000 0.174 0.582 x4
Pb1 0.000 0.500 0.560 x2
O1 0.000 0.000 0.363 x2
O2 0.000 0.319 0.392 x4
O3 0.244 0.084 0.878 x8
O4 0.250 0.250 0.863 x4

Largest 10 diffraction maxima, in order of rising 2θ, 5 to 70 degrees two-theta:
d 4.829, 2θ = 18.37°, rel. 30, (0 0 1); d 3.800, 2θ = 23.41°, rel. 24, (1 3 0); d 2.986, 2θ = 29.92°, rel. 100, (1 3 1); d 2.692, 2θ = 33.28°, rel. 18, (2 0 0); d 2.682, 2θ = 33.41°, rel. 17, (0 6 0); d 2.038, 2θ = 44.45°, rel. 19, (1 3 2); d 1.900, 2θ = 47.88°, rel. 20, (2 6 0); d 1.796, 2θ = 50.84°, rel. 24, (2 0 2); d 1.605, 2θ = 57.41°, rel. 16, (3 3 1); d 1.601, 2θ = 57.58°, rel. 15, (1 9 1)

Structure and theoretical X-ray diffraction stick pattern of FeBi2PdO6 (a structure optimized by DFT (PBE+U); Cu Kα (λ = 1.5418 Å)).
Lines closer than 0.1° are merged.

Structure:
Lattice parameters (Å, degrees): 5.489 6.016 9.452 90.00 124.71 90.00
Space group P2_1/c (No. 14)
Symmetry-distinct sites (fractional):
Fe1 0.000 0.000 0.000 x2
Bi1 0.274 0.066 0.761 x4
Pd1 0.500 0.000 0.500 x2
O1 0.140 0.041 0.249 x4
O2 0.251 0.706 0.059 x4
O3 0.346 0.168 0.037 x4

Largest 10 diffraction maxima, in order of rising 2θ, 5 to 70 degrees two-theta:
d 4.055, 2θ = 21.92°, rel. 33, (1 1 -1); d 3.008, 2θ = 29.70°, rel. 43, (0 2 0); d 2.820, 2θ = 31.74°, rel. 99, (1 1 1); d 2.805, 2θ = 31.90°, rel. 29, (0 2 1); d 2.791, 2θ = 32.07°, rel. 100, (1 1 -3); d 2.744, 2θ = 32.63°, rel. 51, (2 0 -2); d 2.027, 2θ = 44.70°, rel. 35, (2 2 -2); d 1.965, 2θ = 46.21°, rel. 28, (0 2 3); d 1.604, 2θ = 57.46°, rel. 27, (3 1 -1); d 1.588, 2θ = 58.08°, rel. 29, (3 1 -5)

Structure and theoretical X-ray diffraction stick pattern of Fe2BiSbO7 (a structure optimized by DFT (PBE+U); Cu Kα (λ = 1.5418 Å)).
Lines closer than 0.1° are merged.

Structure:
Lattice parameters (Å, degrees): 7.311 7.458 10.421 90.00 90.00 90.00
Space group Imma (No. 74)
Symmetry-distinct sites (fractional):
Fe1 0.000 0.000 0.000 x4
Fe2 0.250 0.250 0.250 x4
Bi1 0.000 0.000 0.500 x4
Sb1 0.250 0.250 0.750 x4
O1 0.000 0.250 0.115 x4
O2 0.000 0.250 0.397 x4
O3 0.000 0.250 0.811 x4
O4 0.225 0.052 0.623 x16

Largest 10 diffraction maxima, in order of rising 2θ, 5 to 70 degrees two-theta:
d 5.985, 2θ = 14.80°, rel. 51, (1 0 1); d 3.165, 2θ = 28.19°, rel. 27, (1 2 1); d 3.135, 2θ = 28.47°, rel. 20, (1 0 3); d 3.033, 2θ = 29.45°, rel. 100, (0 2 2); d 2.993, 2θ = 29.86°, rel. 90, (2 0 2); d 2.609, 2θ = 34.38°, rel. 58, (0 0 4); d 1.844, 2θ = 49.42°, rel. 61, (2 2 4); d 1.828, 2θ = 49.89°, rel. 16, (4 0 0); d 1.583, 2θ = 58.30°, rel. 29, (2 4 2); d 1.565, 2θ = 59.00°, rel. 27, (4 2 2)

Structure and theoretical X-ray diffraction stick pattern of Fe2Si2BiO9 (a structure optimized by DFT (PBE+U); Cu Kα (λ = 1.5418 Å)).
Lines closer than 0.1° are merged.

Structure:
Lattice parameters (Å, degrees): 5.313 9.006 8.032 90.00 101.17 90.00
Space group Cm (No. 8)
Symmetry-distinct sites (fractional):
Fe1 0.000 0.163 0.000 x4
Si1 0.287 0.328 0.356 x4
Bi1 0.415 0.000 0.730 x2
O1 0.065 0.246 0.441 x4
O2 0.143 0.000 0.134 x2
O3 0.229 0.310 0.151 x4
O4 0.285 0.181 0.866 x4
O5 0.295 0.500 0.422 x2
O6 0.309 0.500 0.858 x2

Largest 10 diffraction maxima, in order of rising 2θ, 5 to 70 degrees two-theta:
d 7.880, 2θ = 11.23°, rel. 70, (0 0 1); d 4.233, 2θ = 20.99°, rel. 47, (1 1 -1); d 3.910, 2θ = 22.74°, rel. 78, (0 2 1); d 3.660, 2θ = 24.32°, rel. 100, (1 1 1); d 3.250, 2θ = 27.44°, rel. 79, (1 1 -2); d 2.965, 2θ = 30.14°, rel. 49, (0 2 2); d 2.748, 2θ = 32.58°, rel. 26, (1 1 2); d 2.629, 2θ = 34.10°, rel. 45, (2 0 -1); d 2.602, 2θ = 34.46°, rel. 55, (1 3 0); d 2.271, 2θ = 39.68°, rel. 30, (2 2 -1)

Structure and theoretical X-ray diffraction stick pattern of SrTiFe4Bi4O15 (a structure optimized by DFT (PBE+U); Cu Kα (λ = 1.5418 Å)).
Lines closer than 0.1° are merged.

Structure:
Lattice parameters (Å, degrees): 5.380 26.744 4.775 90.00 92.53 90.00
Space group Cm (No. 8)
Symmetry-distinct sites (fractional):
Sr1 0.000 0.000 0.000 x2
Ti1 0.477 0.000 0.529 x2
Fe1 0.474 0.201 0.545 x4
Fe2 0.479 0.400 0.524 x4
Bi1 0.021 0.399 0.939 x4
Bi2 0.026 0.204 0.975 x4
O1 0.217 0.350 0.653 x4
O2 0.224 0.153 0.657 x4
O3 0.227 0.450 0.659 x4
O4 0.231 0.251 0.667 x4
O5 0.240 0.051 0.633 x4
O6 0.435 0.402 0.135 x4
O7 0.441 0.208 0.138 x4
O8 0.485 0.000 0.157 x2

Largest 10 diffraction maxima, in order of rising 2θ, 5 to 70 degrees two-theta:
d 4.770, 2θ = 18.60°, rel. 52, (0 0 1); d 3.791, 2θ = 23.46°, rel. 45, (1 5 0); d 3.014, 2θ = 29.64°, rel. 100, (1 5 -1); d 2.924, 2θ = 30.57°, rel. 93, (1 5 1); d 2.688, 2θ = 33.34°, rel. 34, (2 0 0); d 2.674, 2θ = 33.51°, rel. 35, (0 10 0); d 2.386, 2θ = 37.71°, rel. 30, (0 0 2); d 2.333, 2θ = 38.60°, rel. 22, (0 10 1); d 1.896, 2θ = 47.99°, rel. 38, (2 10 0); d 1.780, 2θ = 51.32°, rel. 34, (0 10 2)

Structure and theoretical X-ray diffraction stick pattern of FeBi2TeO6 (a structure optimized by DFT (PBE+U); Cu Kα (λ = 1.5418 Å)).
Lines closer than 0.1° are merged.

Structure:
Lattice parameters (Å, degrees): 5.674 6.179 9.827 90.00 124.82 90.00
Space group P2_1/c (No. 14)
Symmetry-distinct sites (fractional):
Fe1 0.000 0.000 0.000 x2
Bi1 0.247 0.049 0.760 x4
Te1 0.500 0.000 0.500 x2
O1 0.114 0.183 0.434 x4
O2 0.287 0.682 0.452 x4
O3 0.372 0.048 0.242 x4

Largest 10 diffraction maxima, in order of rising 2θ, 5 to 70 degrees two-theta:
d 4.179, 2θ = 21.26°, rel. 28, (1 1 -1); d 3.090, 2θ = 28.90°, rel. 45, (0 2 0); d 2.911, 2θ = 30.72°, rel. 89, (1 1 1); d 2.893, 2θ = 30.91°, rel. 100, (1 1 -3); d 2.837, 2θ = 31.54°, rel. 43, (2 0 -2); d 2.090, 2θ = 43.30°, rel. 35, (2 2 -2); d 2.018, 2θ = 44.93°, rel. 28, (0 0 4); d 1.883, 2θ = 48.34°, rel. 21, (1 3 0); d 1.655, 2θ = 55.53°, rel. 25, (3 1 -1); d 1.646, 2θ = 55.87°, rel. 22, (3 1 -5)

Structure and theoretical X-ray diffraction stick pattern of Ti3FeBi5O15 (a structure optimized by DFT (PBE+U); Cu Kα (λ = 1.5418 Å)).
Lines closer than 0.1° are merged.

Structure:
Lattice parameters (Å, degrees): 5.703 5.543 20.841 90.00 97.21 90.00
Space group Cm (No. 8)
Symmetry-distinct sites (fractional):
Ti1 0.000 0.000 0.000 x2
Ti2 0.091 0.000 0.198 x2
Ti3 0.294 0.500 0.598 x2
Fe1 0.414 0.500 0.804 x2
Bi1 0.046 0.500 0.334 x2
Bi2 0.115 0.000 0.456 x2
Bi3 0.274 0.000 0.694 x2
Bi4 0.391 0.000 0.891 x2
Bi5 0.489 0.000 0.102 x2
O1 0.012 0.000 0.906 x2
O2 0.087 0.241 0.616 x4
O3 0.100 0.000 0.094 x2
O4 0.160 0.000 0.286 x2
O5 0.200 0.235 0.813 x4
O6 0.274 0.500 0.513 x2
O7 0.302 0.240 0.002 x4
O8 0.375 0.242 0.183 x4
O9 0.380 0.249 0.397 x4
O10 0.400 0.500 0.708 x2

Largest 10 diffraction maxima, in order of rising 2θ, 5 to 70 degrees two-theta:
d 4.135, 2θ = 21.49°, rel. 21, (0 0 5); d 3.957, 2θ = 22.47°, rel. 67, (1 1 0); d 3.018, 2θ = 29.60°, rel. 100, (1 1 4); d 2.994, 2θ = 29.84°, rel. 100, (1 1 -5); d 2.851, 2θ = 31.37°, rel. 42, (2 0 -1); d 2.771, 2θ = 32.30°, rel. 47, (0 2 0); d 2.301, 2θ = 39.16°, rel. 39, (0 2 5); d 1.987, 2θ = 45.65°, rel. 38, (2 2 -1); d 1.798, 2θ = 50.79°, rel. 23, (2 0 8); d 1.643, 2θ = 55.95°, rel. 21, (1 3 4)

Number 6 is which compound?
Fe2BiSbO7